Record 1
# Li3Nd2SiNi12
Calculated powder diffraction line list, Cu Kα, 1.54184 Å. Input: the GGA-PBE geometry in Alexandria.

```
Li3Nd2SiNi12
1.0
2.8657 1.6545 9.0239
-2.8657 1.6545 9.0239
0.0000 -3.3090 9.0239
Li Nd Si Ni
3 2 1 12
direct
0.0000 0.5000 0.5000 Li
0.5000 0.0000 0.5000 Li
0.5000 0.5000 0.0000 Li
0.1430 0.1430 0.1430 Nd
0.8570 0.8570 0.8570 Nd
0.5000 0.5000 0.5000 Si
0.0867 0.0867 0.6821 Ni
0.0867 0.6821 0.0867 Ni
0.1373 0.5822 0.5822 Ni
0.3179 0.9133 0.9133 Ni
0.4178 0.4178 0.8627 Ni
0.4178 0.8627 0.4178 Ni
0.5822 0.1373 0.5822 Ni
0.5822 0.5822 0.1373 Ni
0.6821 0.0867 0.0867 Ni
0.8627 0.4178 0.4178 Ni
0.9133 0.3179 0.9133 Ni
0.9133 0.9133 0.3179 Ni
```

Main lines, most intense first (10° ≤ 2θ ≤ 80°):
Position (°2θ)  d/Å  I_rel
38.64  2.330  100
32.79  2.731  42
37.86  2.377  40
45.31  2.001  38
37.17  2.419  31
29.28  3.051  31
40.93  2.205  30
18.17  4.882  27


Record 2
# LiNdO2
Calculated powder diffraction line list, Cu Kα, 1.54184 Å. Input: the GGA-PBE geometry in Alexandria.

```
LiNdO2
1.0
5.8069 0.0000 0.0000
0.0000 6.1280 0.0000
-1.2629 0.0000 5.6714
Li Nd O
4 4 8
direct
0.1651 0.1395 0.1824 Li
0.1651 0.3605 0.6824 Li
0.8349 0.6395 0.3176 Li
0.8349 0.8605 0.8176 Li
0.2983 0.5710 0.1966 Nd
0.2983 0.9290 0.6966 Nd
0.7017 0.0710 0.3034 Nd
0.7017 0.4290 0.8034 Nd
0.0725 0.6336 0.7979 O
0.0725 0.8664 0.2979 O
0.4129 0.2385 0.9837 O
0.4129 0.2615 0.4837 O
0.5871 0.7385 0.5163 O
0.5871 0.7615 0.0163 O
0.9275 0.1336 0.7021 O
0.9275 0.3664 0.2021 O
```

Main lines, most intense first (10° ≤ 2θ ≤ 80°):
Position (°2θ)  d/Å  I_rel
24.43  3.644  100
28.56  3.125  95
35.36  2.539  81
21.35  4.162  64
31.56  2.835  60
33.23  2.696  41
47.30  1.922  35
43.89  2.063  31


Record 3
# LiNd2PaO6
Calculated powder diffraction line list, Cu Kα, 1.54184 Å. Input: the GGA-PBE geometry in Alexandria.

```
LiNd2PaO6
1.0
2.9813 1.7213 5.0355
-2.9813 1.7213 5.0355
0.0000 -3.4425 5.0355
Li Nd Pa O
1 2 1 6
direct
0.0000 0.0000 0.0000 Li
0.2784 0.2784 0.2784 Nd
0.7818 0.7818 0.7818 Nd
0.4976 0.4976 0.4976 Pa
0.1313 0.6855 0.3887 O
0.2119 0.6115 0.8624 O
0.3887 0.1313 0.6855 O
0.6115 0.8624 0.2119 O
0.6855 0.3887 0.1313 O
0.8624 0.2119 0.6115 O
```

Main lines, most intense first (10° ≤ 2θ ≤ 80°):
Position (°2θ)  d/Å  I_rel
29.97  2.981  100
29.30  3.048  100
18.16  4.886  74
42.41  2.131  45
52.80  1.734  44
34.98  2.565  34
53.22  1.721  31
47.25  1.924  29


Record 4
# Li2Nd2PdO6
Calculated powder diffraction line list, Cu Kα, 1.54184 Å. Input: the GGA-PBE geometry in Alexandria.

```
Li2Nd2PdO6
1.0
2.8134 1.6243 5.0056
-2.8134 1.6243 5.0056
0.0000 -3.2486 5.0056
Li Nd Pd O
2 2 1 6
direct
0.0765 0.0765 0.0765 Li
0.9235 0.9235 0.9235 Li
0.2862 0.2862 0.2862 Nd
0.7138 0.7138 0.7138 Nd
0.5000 0.5000 0.5000 Pd
0.2567 0.2567 0.7152 O
0.2567 0.7152 0.2567 O
0.2848 0.7433 0.7433 O
0.7152 0.2567 0.2567 O
0.7433 0.2848 0.7433 O
0.7433 0.7433 0.2848 O
```

Main lines, most intense first (10° ≤ 2θ ≤ 80°):
Position (°2θ)  d/Å  I_rel
31.81  2.813  100
19.15  4.635  77
35.10  2.557  70
30.05  2.974  50
44.32  2.044  39
58.81  1.570  37
48.09  1.892  35
64.98  1.435  33


Record 5
# LiPrNdO2
Calculated powder diffraction line list, Cu Kα, 1.54184 Å. Input: the GGA-PBE geometry in Alexandria.

```
LiPrNdO2
1.0
3.5394 0.0000 0.0000
-1.7697 3.0652 0.0000
0.0000 0.0000 27.2312
Li Pr Nd O
3 3 3 6
direct
0.0000 0.0000 0.0000 Li
0.3333 0.6667 0.6667 Li
0.6667 0.3333 0.3333 Li
0.0000 0.0000 0.1317 Pr
0.3333 0.6667 0.7984 Pr
0.6667 0.3333 0.4651 Pr
0.0000 0.0000 0.5740 Nd
0.3333 0.6667 0.2407 Nd
0.6667 0.3333 0.9074 Nd
0.0000 0.0000 0.2891 O
0.0000 0.0000 0.8590 O
0.3333 0.6667 0.5257 O
0.3333 0.6667 0.9558 O
0.6667 0.3333 0.1924 O
0.6667 0.3333 0.6225 O
```

Main lines, most intense first (10° ≤ 2θ ≤ 80°):
Position (°2θ)  d/Å  I_rel
29.88  2.990  100
37.35  2.408  92
32.02  2.795  75
33.55  2.671  53
29.52  3.026  39
51.65  1.770  39
47.19  1.926  37
60.62  1.528  32


Record 6
# LiNd2RhO5
Calculated powder diffraction line list, Cu Kα, 1.54184 Å. Input: the GGA-PBE geometry in Alexandria.

```
LiNd2RhO5
1.0
6.8125 0.0000 0.0000
0.0000 6.8125 0.0000
0.0000 0.0000 5.7876
Li Nd Rh O
2 4 2 10
direct
0.0000 0.0000 0.0000 Li
0.5000 0.5000 0.0000 Li
0.1765 0.3235 0.5000 Nd
0.3235 0.8235 0.5000 Nd
0.6765 0.1765 0.5000 Nd
0.8235 0.6765 0.5000 Nd
0.0000 0.5000 0.0000 Rh
0.5000 0.0000 0.0000 Rh
0.0000 0.0000 0.5000 O
0.1357 0.6357 0.2498 O
0.1357 0.6357 0.7502 O
0.3643 0.1357 0.2498 O
0.3643 0.1357 0.7502 O
0.5000 0.5000 0.5000 O
0.6357 0.8643 0.2498 O
0.6357 0.8643 0.7502 O
0.8643 0.3643 0.2498 O
0.8643 0.3643 0.7502 O
```

Main lines, most intense first (10° ≤ 2θ ≤ 80°):
Position (°2θ)  d/Å  I_rel
30.45  2.936  100
33.23  2.696  94
18.42  4.817  71
43.11  2.098  69
15.31  5.788  68
44.90  2.019  56
30.90  2.894  41
29.32  3.047  36


Record 7
# LiNdRh4O8
Calculated powder diffraction line list, Cu Kα, 1.54184 Å. Input: the GGA-PBE geometry in Alexandria.

```
LiNdRh4O8
1.0
3.1712 1.8309 5.0461
-3.1712 1.8309 5.0461
0.0000 -3.6618 5.0461
Li Nd Rh O
1 1 4 8
direct
0.0000 0.0000 0.0000 Li
0.3806 0.3806 0.3806 Nd
0.4996 0.9981 0.9981 Rh
0.6182 0.6182 0.6182 Rh
0.9981 0.4996 0.9981 Rh
0.9981 0.9981 0.4996 Rh
0.2090 0.7476 0.7476 O
0.2296 0.2296 0.2296 O
0.2348 0.2348 0.8064 O
0.2348 0.8064 0.2348 O
0.7476 0.2090 0.7476 O
0.7476 0.7476 0.2090 O
0.7629 0.7629 0.7629 O
0.8064 0.2348 0.2348 O
```

Main lines, most intense first (10° ≤ 2θ ≤ 80°):
Position (°2θ)  d/Å  I_rel
33.15  2.702  100
28.64  3.116  78
33.37  2.685  58
33.81  2.652  38
58.18  1.586  37
59.31  1.558  32
50.12  1.820  30
17.58  5.046  27


Record 8
# LiNd4Rh4O12
Calculated powder diffraction line list, Cu Kα, 1.54184 Å. Input: the GGA-PBE geometry in Alexandria.

```
LiNd4Rh4O12
1.0
5.7587 0.0000 0.0000
0.0000 7.7492 0.0000
-0.3736 0.0000 5.9136
Li Nd Rh O
1 4 4 12
direct
0.0000 0.0000 0.0000 Li
0.1999 0.0000 0.6187 Nd
0.2075 0.5000 0.5147 Nd
0.6563 0.0000 0.1890 Nd
0.6705 0.5000 0.0120 Nd
0.1961 0.2603 0.0819 Rh
0.1961 0.7397 0.0819 Rh
0.7003 0.2539 0.5919 Rh
0.7003 0.7461 0.5919 Rh
0.0007 0.1981 0.3824 O
0.0007 0.8019 0.3824 O
0.0725 0.5000 0.1283 O
0.2998 0.0000 0.0185 O
0.3888 0.3047 0.7787 O
0.3888 0.6953 0.7787 O
0.5135 0.3025 0.2768 O
0.5135 0.6975 0.2768 O
0.5810 0.0000 0.5595 O
0.8256 0.5000 0.6363 O
0.8733 0.1998 0.9051 O
0.8733 0.8002 0.9051 O
```

Main lines, most intense first (10° ≤ 2θ ≤ 80°):
Position (°2θ)  d/Å  I_rel
31.18  2.868  100
32.17  2.782  65
30.23  2.957  26
46.91  1.937  22
54.82  1.675  16
56.65  1.625  16
57.36  1.606  14
45.38  1.999  12


Record 9
# LiNd4Rh4O12
Calculated powder diffraction line list, Cu Kα, 1.54184 Å. Input: the GGA-PBE geometry in Alexandria.

```
LiNd4Rh4O12
1.0
5.4068 0.0000 0.0000
0.0000 7.6623 0.0000
-0.1526 0.0000 6.2045
Li Nd Rh O
1 4 4 12
direct
0.0000 0.0000 0.0000 Li
0.3920 0.5000 0.6634 Nd
0.4748 0.0000 0.8425 Nd
0.8761 0.0000 0.3799 Nd
0.9527 0.5000 0.1696 Nd
0.4200 0.2490 0.2526 Rh
0.4200 0.7510 0.2526 Rh
0.9286 0.2567 0.7519 Rh
0.9286 0.7433 0.7519 Rh
0.0617 0.0000 0.7175 O
0.0995 0.3030 0.4456 O
0.0995 0.6970 0.4456 O
0.2535 0.3035 0.9434 O
0.2535 0.6965 0.9434 O
0.2767 0.0000 0.1973 O
0.5517 0.5000 0.3033 O
0.5970 0.1975 0.5632 O
0.5970 0.8025 0.5632 O
0.7578 0.1900 0.0614 O
0.7578 0.8100 0.0614 O
0.7987 0.5000 0.8022 O
```

Main lines, most intense first (10° ≤ 2θ ≤ 80°):
Position (°2θ)  d/Å  I_rel
32.25  2.776  100
31.88  2.808  100
33.15  2.703  49
47.46  1.916  40
31.10  2.876  36
28.78  3.102  32
24.98  3.565  28
24.50  3.633  26


Record 10
# LiNdS2O8
Calculated powder diffraction line list, Cu Kα, 1.54184 Å. Input: the GGA-PBE geometry in Alexandria.

```
LiNdS2O8
1.0
5.1344 0.0000 0.0000
-2.5672 4.4465 0.0000
0.0000 0.0000 6.8227
Li Nd S O
1 1 2 8
direct
0.0000 0.0000 0.0000 Li
0.0000 0.0000 0.5000 Nd
0.3333 0.6667 0.2795 S
0.6667 0.3333 0.7205 S
0.1736 0.8240 0.2127 O
0.1760 0.3496 0.2127 O
0.3333 0.6667 0.5006 O
0.3496 0.1736 0.7873 O
0.6504 0.8264 0.2127 O
0.6667 0.3333 0.4994 O
0.8240 0.6504 0.7873 O
0.8264 0.1760 0.7873 O
```

Main lines, most intense first (10° ≤ 2θ ≤ 80°):
Position (°2θ)  d/Å  I_rel
23.89  3.725  100
12.98  6.823  85
37.43  2.403  53
33.10  2.707  48
19.97  4.447  42
34.95  2.567  41
48.90  1.863  30
44.76  2.025  23


Q: Which formula does entry 10 have?
A: LiNdS2O8